Record 1
Starting from a cell relaxed with PBE, the XRD peak list of Ca3B4H12O3 was simulated for CuKα.

Cell and atoms:
```
Ca3B4H12O3
1.0
4.5069 -4.0419 0.0000
4.5069 4.0419 0.0000
0.0000 0.0000 11.8415
Ca B H O
6 8 24 6
Direct
0.0101 0.4533 0.2691
0.0811 0.9189 0.5000
0.4533 0.0101 0.7691
0.5467 0.9899 0.2691
0.9189 0.0811 0.0000
0.9899 0.5467 0.7691
0.9998 0.0002 0.2755
0.0002 0.9998 0.7755
0.0048 0.4451 0.5223
0.4451 0.0048 0.0223
0.4931 0.5069 0.2570
0.5069 0.4931 0.7570
0.5549 0.9952 0.5223
0.9952 0.5549 0.0223
0.0648 0.3057 0.5944
0.1131 0.4009 0.0654
0.1134 0.6373 0.9539
0.1721 0.5061 0.4785
0.3057 0.0648 0.0944
0.3549 0.6451 0.3008
0.3627 0.8866 0.9539
0.3834 0.4001 0.6955
0.4001 0.3834 0.1955
0.4009 0.1131 0.5654
0.4054 0.5946 0.8335
0.4939 0.8279 0.4785
0.5061 0.1721 0.9785
0.5946 0.4054 0.3335
0.5991 0.8869 0.0654
0.5999 0.6166 0.6955
0.6166 0.5999 0.1955
0.6373 0.1134 0.4539
0.6451 0.3549 0.8008
0.6943 0.9352 0.5944
0.8279 0.4939 0.9785
0.8866 0.3627 0.4539
0.8869 0.5991 0.5654
0.9352 0.6943 0.0944
0.0835 0.1822 0.8237
0.1224 0.8776 0.6931
0.1822 0.0835 0.3237
0.8178 0.9165 0.8237
0.8776 0.1224 0.1931
0.9165 0.8178 0.3237
```

Most intense lines, 2θ from 10° to 90°, low angle first:
2theta  Rel. int.
14.72  100
14.96  59
16.52  21
24.83  30
29.69  62
30.19  43
30.66  18
33.40  16
35.59  15
42.86  39


Record 2
Starting from a cell relaxed with PBE, the XRD peak list of Ho12Th5Sc was simulated for CuKα.

Cell and atoms:
```
Ho12Th5Sc
1.0
7.4664 -7.4814 0.0000
7.4664 7.4814 0.0000
0.0000 0.0000 5.0173
Ho Th Sc
12 5 1
Direct
0.0054 0.6692 0.5000
0.1620 0.1620 0.0000
0.1742 0.5016 0.0000
0.3308 0.9946 0.5000
0.3345 0.3345 0.5000
0.4984 0.8258 0.0000
0.5016 0.1742 0.0000
0.6655 0.6655 0.5000
0.6692 0.0054 0.5000
0.8258 0.4984 0.0000
0.8380 0.8380 0.0000
0.9946 0.3308 0.5000
0.0000 0.0000 0.5000
0.1693 0.8307 0.0000
0.3371 0.6629 0.5000
0.6629 0.3371 0.5000
0.8307 0.1693 0.0000
0.5000 0.5000 0.0000
```

Most intense lines, 2θ from 10° to 90°, low angle first:
2theta  Rel. int.
31.02  100
35.79  17
36.05  33
51.71  24
51.90  12
61.36  15
61.71  28
64.65  12
84.43  6
84.52  6